The following is a calculated X-ray powder pattern of Nb6PtAu. It was derived from a cell relaxed with GGA-PBE, using Cu Kα, 1.54184 Å.
Lines closer than 0.1° are merged.

Largest 10 diffraction maxima, in order of rising 2θ, 15 to 90 degrees two-theta:
2θ/deg	Rel. int.	(hkl)
24.07	242	1 1 0
34.30	448	2 0 0
38.50	561	2 1 0
42.34	1000	2 1 1
64.23	120	3 0 2
66.97	514	3 2 1
72.28	138	4 0 0
82.51	146	4 2 0
85.01	108	4 2 1
87.51	129	3 3 2

Structure:
a = 5.229 Å, b = 5.229 Å, c = 5.229 Å
α = 90.00°, β = 90.00°, γ = 90.00°
Space group Pm-3 (No. 200)
Symmetry-distinct sites (fractional):
Nb 0.000 0.254 0.500 [6 per cell]
Pt 0.500 0.500 0.500 [1 per cell]
Au 0.000 0.000 0.000 [1 per cell]